Entry 1:
Starting from a cell relaxed with GGA-PBE, the X-ray diffraction stick pattern of Mn2FeGe5 was computed for λ = 1.5418 Å (Cu Kα).

Cell and atoms:
```
data_Mn2FeGe5
_chemical_formula_sum 'Mn8 Fe4 Ge20'
_cell_length_a 5.6894
_cell_length_b 5.6894
_cell_length_c 13.7501
_cell_angle_alpha 90.00
_cell_angle_beta 90.00
_cell_angle_gamma 90.00
_symmetry_space_group_name_H-M 'P -4 n 2'
_symmetry_Int_Tables_number 118
_symmetry_space_group_name_Hall 'P -4 -2n'
loop_
_atom_site_label
_atom_site_type_symbol
_atom_site_fract_x
_atom_site_fract_y
_atom_site_fract_z
_atom_site_occupancy
Mn1 Mn 0.0000 0.0000 0.0000 1
Mn2 Mn 0.0000 0.0000 0.3277 1
Mn3 Mn 0.0000 0.5000 0.2500 1
Fe1 Fe 0.0000 0.5000 0.5863 1
Ge1 Ge 0.1555 0.2705 0.4475 1
Ge2 Ge 0.1614 0.8035 0.1516 1
Ge3 Ge 0.1763 0.6763 0.7500 1
```

The 8 most intense peaks (10° ≤ 2θ ≤ 90°), by angle:
2θ = 37.70°, rel. 84, hkl 2 1 2
2θ = 39.70°, rel. 100, hkl 1 1 5
2θ = 40.55°, rel. 87, hkl 2 1 3
2θ = 45.07°, rel. 34, hkl 2 2 0
2θ = 45.56°, rel. 43, hkl 1 1 6
2θ = 52.20°, rel. 57, hkl 3 0 3
2θ = 65.55°, rel. 18, hkl 2 1 8
2θ = 83.53°, rel. 15, hkl 3 3 6

Entry 2:
Starting from a cell relaxed with GGA-PBE, the X-ray diffraction stick pattern of Mn4FeGe3 was computed for λ = 1.5418 Å (Cu Kα).

Cell and atoms:
```
data_Mn4FeGe3
_chemical_formula_sum 'Mn8 Fe2 Ge6'
_cell_length_a 7.1253
_cell_length_b 7.1253
_cell_length_c 4.9140
_cell_angle_alpha 90.00
_cell_angle_beta 90.00
_cell_angle_gamma 120.00
_symmetry_space_group_name_H-M 'P -3 1 m'
_symmetry_Int_Tables_number 162
_symmetry_space_group_name_Hall '-P 3 2'
loop_
_atom_site_label
_atom_site_type_symbol
_atom_site_fract_x
_atom_site_fract_y
_atom_site_fract_z
_atom_site_occupancy
Mn1 Mn 0.0000 0.2416 0.2460 1
Mn2 Mn 0.3333 0.6667 0.0000 1
Fe1 Fe 0.3333 0.6667 0.5000 1
Ge1 Ge 0.0000 0.3944 0.7453 1
```

The 8 most intense peaks (10° ≤ 2θ ≤ 90°), by angle:
2θ = 36.57°, rel. 23, hkl 0 0 2
2θ = 38.60°, rel. 25, hkl 2 1 0
2θ = 42.92°, rel. 100, hkl 3 -1 1
2θ = 44.02°, rel. 43, hkl 3 0 0
2θ = 44.81°, rel. 68, hkl 2 -1 2
2θ = 56.98°, rel. 18, hkl 3 1 1
2θ = 70.22°, rel. 21, hkl 2 1 3
2θ = 88.70°, rel. 17, hkl 5 0 2